Computed powder diffractogram of Mn3OF5 for Cu Ka, from a crystal structure in the Materials Project, relaxed with PBE+U.
No peak broadening, texture or thermal motion is included.

```
data_Mn3OF5
_cell_length_a 3.2365
_cell_length_b 4.9229
_cell_length_c 14.7060
_cell_angle_alpha 90.00
_cell_angle_beta 90.00
_cell_angle_gamma 90.00
_symmetry_space_group_name_H-M 'P m n 21'
_symmetry_Int_Tables_number 31
loop_
_symmetry_equiv_pos_as_xyz
'x,y,z'
'-x+1/2,-y,z+1/2'
'-x,y,z'
'x+1/2,-y,z+1/2'
loop_
_atom_site_label
_atom_site_type_symbol
_atom_site_fract_x
_atom_site_fract_y
_atom_site_fract_z
_atom_site_occupancy
Mn1 Mn 0.0000 0.2184 0.0000 1
Mn2 Mn 0.0000 0.2266 0.3476 1
Mn3 Mn 0.0000 0.2742 0.6749 1
O1 O 0.0000 0.9495 0.4416 1
F1 F 0.0000 0.5245 0.2449 1
F2 F 0.0000 0.5637 0.9076 1
F3 F 0.0000 0.5790 0.5693 1
F4 F 0.0000 0.9323 0.1134 1
F5 F 0.0000 0.9577 0.7762 1
```

Top 10 peaks for 2θ from 15° to 90°, sorted by position:
- (0 1 3), 2θ = 25.65°, I = 100
- (1 0 3), 2θ = 33.15°, I = 51
- (1 1 3), 2θ = 38.00°, I = 21
- (1 1 6), 2θ = 50.19°, I = 62
- (0 2 6), 2θ = 52.70°, I = 18
- (2 0 0), 2θ = 56.90°, I = 11
- (2 1 3), 2θ = 63.41°, I = 13
- (1 3 0), 2θ = 63.57°, I = 11
- (1 0 9), 2θ = 63.81°, I = 12
- (2 2 6), 2θ = 81.25°, I = 8